Structure and computed powder XRD pattern of CaMn2P2H4O10 (DFT lattice parameters and positions (GGA+U); Cu Kα, 1.54184 Å).
Kinematic intensities with the Lorentz-polarization factor, no thermal factor.

Crystal structure
Lattice parameters (Å, degrees): 5.418 5.674 7.866 84.75 73.82 74.09
Sites, in units of the cell vectors:
Ca  0.000  0.000  0.000
Mn  0.203  0.387  0.407
Mn  0.764  0.611  0.833
P  0.273  0.378  0.043
P  0.290  0.842  0.618
H  0.464  0.940  0.139
H  0.649  0.443  0.557
H  0.649  0.705  0.209
H  0.843  0.198  0.631
O  0.120  0.391  0.901
O  0.160  0.608  0.164
O  0.212  0.157  0.170
O  0.372  0.050  0.499
O  0.392  0.599  0.510
O  0.403  0.810  0.783
O  0.580  0.325  0.971
O  0.644  0.812  0.105
O  0.827  0.373  0.589
O  0.979  0.898  0.701

Main lines, in order of rising 2θ (10° ≤ 2θ ≤ 90°):
two_theta, Rel. int.
11.7, 90
17.7, 90
20.2, 50
21.2, 65
23.7, 75
27.7, 100
28.5, 88
33.0, 73
35.2, 50
36.8, 76